No. 1
Structure and simulated powder diffractogram of RbFeCuTe2S (a cell relaxed with PBE; Cu Kα, 1.54184 Å).
Kinematic intensities with the Lorentz-polarization factor, no thermal factor.

Structure:
Cell lengths 8.141, 8.141, 10.206 Å; angles 90.00, 90.00, 152.76 degrees
Positions (direct):
Rb  0.239  0.761  0.750
Rb  0.761  0.239  0.250
Fe  0.500  0.500  0.000
Fe  0.500  0.500  0.500
Cu  0.025  0.975  0.250
Cu  0.975  0.025  0.750
Te  0.112  0.888  0.037
Te  0.112  0.888  0.463
Te  0.888  0.112  0.537
Te  0.888  0.112  0.963
S  0.448  0.552  0.250
S  0.552  0.448  0.750

Most intense lines, 10 to 80 degrees two-theta, by intensity:
2θ (°), I (rel.)
28.55, 100
40.99, 76
30.12, 56
11.18, 46
33.82, 43
35.17, 40
23.88, 39
53.76, 32

***

No. 2
Structure and simulated powder diffractogram of RbFeCuTe2Se (a cell relaxed with PBE; Cu Kα, 1.54184 Å).
Kinematic intensities with the Lorentz-polarization factor, no thermal factor.

Structure:
Cell lengths 8.226, 8.226, 10.316 Å; angles 90.00, 90.00, 152.63 degrees
Positions (direct):
Rb  0.246  0.754  0.750
Rb  0.754  0.246  0.250
Fe  0.500  0.500  0.000
Fe  0.500  0.500  0.500
Cu  0.032  0.968  0.250
Cu  0.968  0.032  0.750
Te  0.109  0.891  0.034
Te  0.109  0.891  0.466
Te  0.891  0.109  0.534
Te  0.891  0.109  0.966
Se  0.444  0.556  0.250
Se  0.556  0.444  0.750

Most intense lines, 10 to 80 degrees two-theta, by intensity:
2θ (°), I (rel.)
28.25, 100
29.71, 88
11.07, 81
40.48, 73
34.78, 52
53.09, 47
33.38, 35
53.62, 34

***

No. 3
Structure and simulated powder diffractogram of Fe9Cu9S16 (a cell relaxed with PBE; Cu Kα, 1.54184 Å).
Kinematic intensities with the Lorentz-polarization factor, no thermal factor.

Structure:
Cell lengths 10.486, 10.486, 5.308 Å; angles 90.00, 90.00, 90.00 degrees
Positions (direct):
Fe  0.000  0.000  0.000
Fe  0.000  0.000  0.500
Fe  0.000  0.500  0.000
Fe  0.248  0.500  0.500
Fe  0.500  0.000  0.000
Fe  0.500  0.248  0.500
Fe  0.500  0.500  0.500
Fe  0.500  0.752  0.500
Fe  0.752  0.500  0.500
Cu  0.000  0.258  0.500
Cu  0.000  0.742  0.500
Cu  0.250  0.250  0.989
Cu  0.250  0.750  0.011
Cu  0.258  0.000  0.500
Cu  0.500  0.500  0.000
Cu  0.742  0.000  0.500
Cu  0.750  0.250  0.011
Cu  0.750  0.750  0.989
S  0.124  0.124  0.246
S  0.124  0.876  0.754
S  0.126  0.378  0.754
S  0.126  0.622  0.246
S  0.374  0.374  0.269
S  0.374  0.626  0.731
S  0.378  0.126  0.754
S  0.378  0.874  0.246
S  0.622  0.126  0.246
S  0.622  0.874  0.754
S  0.626  0.374  0.731
S  0.626  0.626  0.269
S  0.874  0.378  0.246
S  0.874  0.622  0.754
S  0.876  0.124  0.754
S  0.876  0.876  0.246

Most intense lines, 10 to 80 degrees two-theta, by intensity:
2θ (°), I (rel.)
29.39, 100
48.83, 55
49.15, 27
58.30, 25
57.74, 13
34.20, 11
79.17, 9
72.05, 8

***

No. 4
Structure and simulated powder diffractogram of Fe4Cu2S7 (a cell relaxed with PBE; Cu Kα, 1.54184 Å).
Kinematic intensities with the Lorentz-polarization factor, no thermal factor.

Structure:
Cell lengths 5.103, 8.220, 11.230 Å; angles 90.00, 90.00, 90.00 degrees
Positions (direct):
Fe  0.001  0.153  0.222
Fe  0.001  0.847  0.222
Fe  0.499  0.153  0.222
Fe  0.499  0.847  0.222
Fe  0.501  0.153  0.778
Fe  0.501  0.847  0.778
Fe  0.999  0.153  0.778
Fe  0.999  0.847  0.778
Cu  0.010  0.500  0.738
Cu  0.490  0.500  0.738
Cu  0.510  0.500  0.262
Cu  0.990  0.500  0.262
S  0.250  0.000  0.112
S  0.250  0.000  0.667
S  0.250  0.286  0.338
S  0.250  0.307  0.878
S  0.250  0.500  0.558
S  0.250  0.693  0.878
S  0.250  0.714  0.338
S  0.750  0.000  0.333
S  0.750  0.000  0.888
S  0.750  0.286  0.662
S  0.750  0.307  0.122
S  0.750  0.500  0.442
S  0.750  0.693  0.122
S  0.750  0.714  0.662

Most intense lines, 10 to 80 degrees two-theta, by intensity:
2θ (°), I (rel.)
15.78, 100
51.58, 19
38.77, 19
48.77, 17
32.19, 17
46.30, 16
36.49, 16
48.20, 15

***

No. 5
Structure and simulated powder diffractogram of FeCu6Sn2S8 (a cell relaxed with PBE; Cu Kα, 1.54184 Å).
Kinematic intensities with the Lorentz-polarization factor, no thermal factor.

Structure:
Cell lengths 7.731, 7.731, 5.435 Å; angles 90.00, 90.00, 90.00 degrees
Positions (direct):
Fe  0.000  0.000  0.000
Cu  0.000  0.500  0.036
Cu  0.255  0.255  0.500
Cu  0.255  0.745  0.500
Cu  0.500  0.000  0.964
Cu  0.745  0.255  0.500
Cu  0.745  0.745  0.500
Sn  0.000  0.000  0.500
Sn  0.500  0.500  0.000
S  0.000  0.266  0.774
S  0.000  0.734  0.774
S  0.242  0.500  0.265
S  0.266  0.000  0.226
S  0.500  0.242  0.735
S  0.500  0.758  0.735
S  0.734  0.000  0.226
S  0.758  0.500  0.265

Most intense lines, 10 to 80 degrees two-theta, by intensity:
2θ (°), I (rel.)
28.33, 100
47.16, 73
47.02, 38
55.81, 26
30.65, 24
32.77, 24
19.97, 20
16.23, 14

***

No. 6
Structure and simulated powder diffractogram of Fe2CuSe4 (a cell relaxed with PBE; Cu Kα, 1.54184 Å).
Kinematic intensities with the Lorentz-polarization factor, no thermal factor.

Structure:
Cell lengths 7.077, 7.077, 9.897 Å; angles 90.00, 90.00, 90.00 degrees
Positions (direct):
Fe  0.000  0.243  0.000
Fe  0.000  0.757  0.500
Fe  0.243  0.000  0.750
Fe  0.255  0.255  0.375
Fe  0.255  0.745  0.125
Fe  0.745  0.255  0.625
Fe  0.745  0.745  0.875
Fe  0.757  0.000  0.250
Cu  0.242  0.500  0.750
Cu  0.500  0.242  0.000
Cu  0.500  0.758  0.500
Cu  0.758  0.500  0.250
Se  0.001  0.237  0.758
Se  0.001  0.763  0.742
Se  0.236  0.483  0.000
Se  0.236  0.517  0.500
Se  0.237  0.001  0.992
Se  0.237  0.999  0.508
Se  0.483  0.236  0.750
Se  0.483  0.764  0.750
Se  0.517  0.236  0.250
Se  0.517  0.764  0.250
Se  0.763  0.001  0.008
Se  0.763  0.999  0.492
Se  0.764  0.483  0.000
Se  0.764  0.517  0.500
Se  0.999  0.237  0.242
Se  0.999  0.763  0.258

Most intense lines, 10 to 80 degrees two-theta, by intensity:
2θ (°), I (rel.)
51.98, 100
35.89, 88
31.07, 62
51.66, 50
36.31, 44
29.63, 42
64.78, 28
29.88, 22

***

No. 7
Structure and simulated powder diffractogram of FeCuSe4 (a cell relaxed with PBE; Cu Kα, 1.54184 Å).
Kinematic intensities with the Lorentz-polarization factor, no thermal factor.

Structure:
Cell lengths 4.944, 3.684, 6.000 Å; angles 90.00, 90.28, 90.00 degrees
Positions (direct):
Fe  0.000  0.000  0.000
Cu  0.500  0.500  0.500
Se  0.189  0.000  0.365
Se  0.282  0.500  0.888
Se  0.718  0.500  0.112
Se  0.811  0.000  0.635

Most intense lines, 10 to 80 degrees two-theta, by intensity:
2θ (°), I (rel.)
33.83, 100
30.25, 72
46.71, 56
34.91, 53
35.07, 38
52.03, 36
49.48, 36
46.84, 32

***

No. 8
Structure and simulated powder diffractogram of TlFeCuSe3 (a cell relaxed with PBE; Cu Kα, 1.54184 Å).
Kinematic intensities with the Lorentz-polarization factor, no thermal factor.

Structure:
Cell lengths 14.474, 3.685, 9.759 Å; angles 90.00, 90.00, 90.00 degrees
Positions (direct):
Tl  0.233  0.250  0.054
Tl  0.267  0.750  0.554
Tl  0.733  0.250  0.446
Tl  0.767  0.750  0.946
Fe  0.014  0.250  0.332
Fe  0.486  0.750  0.832
Fe  0.514  0.250  0.168
Fe  0.986  0.750  0.668
Cu  0.013  0.750  0.092
Cu  0.487  0.250  0.592
Cu  0.513  0.750  0.408
Cu  0.987  0.250  0.908
Se  0.073  0.250  0.566
Se  0.094  0.750  0.862
Se  0.122  0.750  0.277
Se  0.378  0.250  0.777
Se  0.406  0.250  0.362
Se  0.427  0.750  0.066
Se  0.573  0.250  0.934
Se  0.594  0.750  0.638
Se  0.622  0.750  0.223
Se  0.878  0.250  0.723
Se  0.906  0.250  0.138
Se  0.927  0.750  0.434

Most intense lines, 10 to 80 degrees two-theta, by intensity:
2θ (°), I (rel.)
31.90, 100
38.97, 48
37.38, 36
54.71, 28
26.58, 26
30.76, 24
49.46, 24
35.76, 22

***

No. 9
Structure and simulated powder diffractogram of YFeCu2 (a cell relaxed with PBE; Cu Kα, 1.54184 Å).
Kinematic intensities with the Lorentz-polarization factor, no thermal factor.

Structure:
Cell lengths 4.465, 4.465, 4.465 Å; angles 60.00, 60.00, 60.00 degrees
Positions (direct):
Y  0.000  0.000  0.000
Fe  0.750  0.750  0.750
Cu  0.250  0.250  0.250
Cu  0.500  0.500  0.500

Most intense lines, 10 to 80 degrees two-theta, by intensity:
2θ (°), I (rel.)
40.40, 100
73.47, 30
58.46, 16
24.42, 2
28.27, 2
47.77, 1
66.18, 1